[1]
Li4Co3Sn5O16: calculated powder diffractogram (λ = 1.5418 Å (Cu Kα)), based on a structure optimized by DFT (PBE+U).

abc: 6.148 10.599 11.580
angles: 62.92 74.69 89.32
Space group P1 (No. 1)
Unique sites:
Li: 0.000 0.000 0.000 x1
Li: 0.009 0.392 0.906 x1
Li: 0.226 0.252 0.512 x1
Li: 0.261 0.970 0.418 x1
Li: 0.496 0.500 0.999 x1
Li: 0.506 0.892 0.905 x1
Li: 0.733 0.754 0.513 x1
Li: 0.758 0.470 0.418 x1
Co: 0.102 0.979 0.724 x1
Co: 0.111 0.812 0.229 x1
Co: 0.351 0.236 0.729 x1
Co: 0.604 0.481 0.723 x1
Co: 0.609 0.311 0.229 x1
Co: 0.859 0.739 0.729 x1
Sn: 0.098 0.312 0.229 x1
Sn: 0.206 0.594 0.510 x1
Sn: 0.348 0.732 0.728 x1
Sn: 0.353 0.567 0.226 x1
Sn: 0.456 0.180 0.999 x1
Sn: 0.603 0.813 0.228 x1
Sn: 0.709 0.096 0.509 x1
Sn: 0.848 0.233 0.729 x1
Sn: 0.856 0.065 0.230 x1
Sn: 0.962 0.679 0.998 x1
O: 0.019 0.089 0.359 x1
O: 0.040 0.598 0.857 x1
O: 0.063 0.105 0.819 x1
O: 0.066 0.606 0.348 x1
O: 0.156 0.025 0.117 x1
O: 0.156 0.864 0.617 x1
O: 0.161 0.373 0.607 x1
O: 0.173 0.538 0.106 x1
O: 0.259 0.821 0.862 x1
O: 0.282 0.820 0.348 x1
O: 0.304 0.350 0.327 x1
O: 0.305 0.320 0.852 x1
O: 0.395 0.790 0.120 x1
O: 0.408 0.290 0.111 x1
O: 0.415 0.134 0.617 x1
O: 0.433 0.626 0.605 x1
O: 0.514 0.592 0.358 x1
O: 0.540 0.099 0.859 x1
O: 0.563 0.593 0.815 x1
O: 0.569 0.084 0.361 x1
O: 0.654 0.378 0.623 x1
O: 0.656 0.542 0.110 x1
O: 0.663 0.870 0.614 x1
O: 0.673 0.037 0.109 x1
O: 0.751 0.332 0.855 x1
O: 0.794 0.318 0.357 x1
O: 0.800 0.816 0.856 x1
O: 0.823 0.842 0.326 x1
O: 0.911 0.628 0.617 x1
O: 0.917 0.283 0.114 x1
O: 0.920 0.793 0.115 x1
O: 0.922 0.130 0.606 x1

Largest 10 diffraction maxima, by angle, 5 to 70 degrees two-theta:
2θ (°)  Rel. int.  hkl
17.98  73  0 0 2
18.97  100  0 2 0
19.06  88  1 -1 1
24.71  41  1 -1 2
32.11  42  0 2 4
34.21  44  1 3 0
34.52  65  2 0 3
34.66  48  2 2 1
35.06  47  -2 2 1
35.14  46  0 4 3

***

[2]
Li2NiP2O8: calculated powder diffractogram (λ = 1.5418 Å (Cu Kα)), based on a structure optimized by DFT (PBE+U).

abc: 4.909 17.603 6.589
angles: 90.00 93.58 90.00
Space group P2_1 (No. 4)
Unique sites:
Li: 0.018 0.000 0.030 x2
Li: 0.038 0.327 0.728 x2
Li: 0.437 0.746 0.054 x2
Li: 0.475 0.559 0.728 x2
Ni: 0.052 0.316 0.240 x2
Ni: 0.454 0.573 0.266 x2
P: 0.032 0.978 0.528 x2
P: 0.071 0.159 0.968 x2
P: 0.427 0.728 0.534 x2
P: 0.471 0.908 0.973 x2
O: 0.034 0.890 0.534 x2
O: 0.105 0.511 0.288 x2
O: 0.112 0.499 0.680 x2
O: 0.137 0.245 0.004 x2
O: 0.166 0.883 0.971 x2
O: 0.185 0.107 0.139 x2
O: 0.217 0.140 0.773 x2
O: 0.241 0.645 0.062 x2
O: 0.265 0.249 0.445 x2
O: 0.290 0.753 0.730 x2
O: 0.303 0.766 0.339 x2
O: 0.331 0.007 0.527 x2
O: 0.380 0.376 0.834 x2
O: 0.391 0.376 0.213 x2
O: 0.392 0.641 0.514 x2
O: 0.475 0.997 0.973 x2

Largest 10 diffraction maxima, by angle, 5 to 70 degrees two-theta:
2θ (°)  Rel. int.  hkl
14.38  100  0 1 1
20.28  36  0 3 1
23.86  28  1 1 1
24.18  60  1 2 -1
24.34  41  0 4 1
25.44  48  1 2 1
26.74  24  1 3 -1
33.45  20  1 2 -2
34.04  54  0 4 2
35.67  45  1 6 0

***

[3]
ZnCrNiP2O9: calculated powder diffractogram (λ = 1.5418 Å (Cu Kα)), based on a structure optimized by DFT (PBE+U).

abc: 14.111 6.252 7.419
angles: 90.00 90.00 90.00
Space group Pnma (No. 62)
Unique sites:
Zn: 0.223 0.250 0.112 x4
Cr: 0.116 0.250 0.645 x4
Ni: 0.000 0.000 0.000 x4
P: 0.067 0.750 0.644 x4
P: 0.199 0.750 0.109 x4
O: 0.010 0.250 0.499 x4
O: 0.020 0.750 0.838 x4
O: 0.051 0.250 0.847 x4
O: 0.137 0.562 0.631 x8
O: 0.141 0.538 0.113 x8
O: 0.225 0.250 0.466 x4
O: 0.238 0.250 0.783 x4

Largest 10 diffraction maxima, by angle, 5 to 70 degrees two-theta:
2θ (°)  Rel. int.  hkl
13.48  19  1 0 1
17.34  21  2 0 1
24.82  100  1 0 2
28.01  23  4 0 1
28.55  26  0 2 0
31.30  20  2 2 0
31.70  30  1 2 1
33.98  32  5 0 1
36.58  17  3 2 1
57.67  21  5 2 3

***

[4]
Ca8TiMn7O21: calculated powder diffractogram (λ = 1.5418 Å (Cu Kα)), based on a structure optimized by DFT (PBE+U).

abc: 7.748 7.775 7.813
angles: 90.00 90.30 90.00
Space group Pm (No. 6)
Unique sites:
Ca: 0.000 0.235 0.000 x2
Ca: 0.437 0.241 0.539 x2
Ca: 0.454 0.236 0.038 x2
Ca: 0.981 0.254 0.513 x2
Ti: 0.704 0.500 0.257 x1
Mn: 0.194 0.500 0.264 x1
Mn: 0.195 0.000 0.766 x1
Mn: 0.196 0.000 0.269 x1
Mn: 0.215 0.500 0.760 x1
Mn: 0.684 0.000 0.282 x1
Mn: 0.696 0.500 0.774 x1
Mn: 0.704 0.000 0.774 x1
O: 0.190 0.251 0.259 x2
O: 0.205 0.000 0.011 x1
O: 0.209 0.000 0.522 x1
O: 0.210 0.500 0.509 x1
O: 0.218 0.500 0.015 x1
O: 0.219 0.245 0.771 x2
O: 0.438 0.000 0.255 x1
O: 0.463 0.500 0.705 x1
O: 0.619 0.295 0.324 x2
O: 0.653 0.000 0.535 x1
O: 0.654 0.500 0.032 x1
O: 0.661 0.000 0.020 x1
O: 0.671 0.245 0.774 x2
O: 0.930 0.500 0.310 x1
O: 0.935 0.000 0.273 x1
O: 0.946 0.500 0.743 x1
O: 0.947 0.000 0.779 x1

Largest 10 diffraction maxima, by angle, 5 to 70 degrees two-theta:
2θ (°)  Rel. int.  hkl
22.93  23  2 0 0
32.48  88  2 0 -2
32.63  100  2 0 2
46.50  26  0 0 4
46.73  29  0 4 0
46.90  21  4 0 0
58.08  31  2 2 4
58.16  11  2 4 2
68.03  18  0 4 4
68.38  18  4 0 4